Structure and simulated XRD peak list of Sr2LiSiO4 (the GGA-PBE geometry in Alexandria; Cu Ka).

Largest 8 diffraction maxima, by angle, 10° ≤ 2θ ≤ 90°:
21.70 deg, intensity 36.9, (0 1 2); 26.09 deg, intensity 100.0, (1 0 3); 31.15 deg, intensity 67.7, (1 1 1); 35.92 deg, intensity 25.2, (2 0 1); 43.10 deg, intensity 21.8, (1 0 6); 48.65 deg, intensity 20.9, (0 2 5); 49.21 deg, intensity 24.2, (1 2 2); 54.61 deg, intensity 42.2, (2 1 4)

Structural model:
Unit cell a=5.8713 b=5.8713 c=13.8271 alpha=90.00 beta=90.00 gamma=120.00
Element x y z (fractional)
Sr (0.2073, 0.5541, 0.4267)
Sr (0.3468, 0.7927, 0.0934)
Sr (0.4459, 0.6532, 0.7601)
Sr (0.5541, 0.2073, 0.5733)
Sr (0.6532, 0.4459, 0.2399)
Sr (0.7927, 0.3468, 0.9066)
Li (0.0000, 0.7807, 0.6667)
Li (0.2193, 0.2193, 0.0000)
Li (0.7807, 0.0000, 0.3333)
Si (0.0000, 0.1718, 0.1667)
Si (0.1718, 0.0000, 0.8333)
Si (0.8282, 0.8282, 0.5000)
O (0.0526, 0.3661, 0.2618)
O (0.1099, 0.8462, 0.5281)
O (0.1538, 0.2637, 0.8614)
O (0.2637, 0.1538, 0.1386)
O (0.3135, 0.9474, 0.9284)
O (0.3661, 0.0526, 0.7382)
O (0.6339, 0.6865, 0.5951)
O (0.6865, 0.6339, 0.4049)
O (0.7363, 0.8901, 0.1948)
O (0.8462, 0.1099, 0.4719)
O (0.8901, 0.7363, 0.8052)
O (0.9474, 0.3135, 0.0716)